Structure and computed PXRD pattern of Ba2AsC (a cell relaxed with PBE; copper Kα).

The 10 most intense peaks (2θ from 5° to 70°), low angle first:
2θ = 19.66°, rel. 8; 2θ = 22.74°, rel. 30; 2θ = 32.38°, rel. 100; 2θ = 38.17°, rel. 5; 2θ = 39.93°, rel. 9; 2θ = 46.45°, rel. 18; 2θ = 50.90°, rel. 2; 2θ = 52.32°, rel. 13; 2θ = 57.75°, rel. 37; 2θ = 67.79°, rel. 11

Atomic structure:
```
Ba2AsC
1.0
7.8205 0.0000 0.0000
0.0000 7.8205 0.0000
0.0000 0.0000 7.8205
Ba As C
8 4 4
direct
0.2500 0.2500 0.2500 Ba
0.2500 0.2500 0.7500 Ba
0.2500 0.7500 0.2500 Ba
0.2500 0.7500 0.7500 Ba
0.7500 0.2500 0.2500 Ba
0.7500 0.2500 0.7500 Ba
0.7500 0.7500 0.2500 Ba
0.7500 0.7500 0.7500 Ba
0.0000 0.0000 0.0000 As
0.0000 0.5000 0.5000 As
0.5000 0.0000 0.5000 As
0.5000 0.5000 0.0000 As
0.0000 0.0000 0.5000 C
0.0000 0.5000 0.0000 C
0.5000 0.0000 0.0000 C
0.5000 0.5000 0.5000 C
```


Structure and computed PXRD pattern of BaCaAs (a cell relaxed with PBE; copper Kα).

The 10 most intense peaks (2θ from 5° to 70°), low angle first:
2θ = 20.73°, rel. 15; 2θ = 27.33°, rel. 100; 2θ = 35.64°, rel. 14; 2θ = 36.32°, rel. 39; 2θ = 41.59°, rel. 5; 2θ = 46.04°, rel. 24; 2θ = 51.80°, rel. 28; 2θ = 59.09°, rel. 11; 2θ = 60.01°, rel. 21; 2θ = 65.34°, rel. 7

Atomic structure:
```
BaCaAs
1.0
4.9471 0.0000 0.0000
-2.4736 4.2843 0.0000
0.0000 0.0000 5.0377
Ba Ca As
1 1 1
direct
0.0000 0.0000 0.0000 Ba
0.6667 0.3333 0.5000 Ca
0.3333 0.6667 0.5000 As
```


Structure and computed PXRD pattern of BaCaAs2O6 (a cell relaxed with PBE; copper Kα).

The 10 most intense peaks (2θ from 5° to 70°), low angle first:
2θ = 14.88°, rel. 18; 2θ = 26.57°, rel. 100; 2θ = 30.44°, rel. 51; 2θ = 34.05°, rel. 27; 2θ = 39.52°, rel. 13; 2θ = 40.84°, rel. 22; 2θ = 44.32°, rel. 17; 2θ = 51.78°, rel. 25; 2θ = 54.10°, rel. 18; 2θ = 69.94°, rel. 13

Atomic structure:
```
BaCaAs2O6
1.0
2.9363 1.6953 5.9518
-2.9363 1.6953 5.9518
0.0000 -3.3906 5.9518
Ba Ca As O
1 1 2 6
direct
0.0000 0.0000 0.0000 Ba
0.5000 0.5000 0.5000 Ca
0.2693 0.2693 0.2693 As
0.7307 0.7307 0.7307 As
0.0565 0.4909 0.7278 O
0.2722 0.9435 0.5091 O
0.4909 0.7278 0.0565 O
0.5091 0.2722 0.9435 O
0.7278 0.0565 0.4909 O
0.9435 0.5091 0.2722 O
```


Structure and computed PXRD pattern of BaCaAs2Pd5 (a cell relaxed with PBE; copper Kα).

The 10 most intense peaks (2θ from 5° to 70°), low angle first:
2θ = 10.45°, rel. 15; 2θ = 20.99°, rel. 10; 2θ = 34.43°, rel. 100; 2θ = 38.52°, rel. 66; 2θ = 42.11°, rel. 20; 2θ = 42.74°, rel. 12; 2θ = 50.72°, rel. 8; 2θ = 55.61°, rel. 22; 2θ = 58.88°, rel. 19; 2θ = 67.07°, rel. 28

Atomic structure:
```
BaCaAs2Pd5
1.0
4.6746 0.0000 0.0000
0.0000 4.6746 0.0000
0.0000 0.0000 8.4632
Ba Ca As Pd
1 1 2 5
direct
0.0000 0.0000 0.0000 Ba
0.0000 0.0000 0.5000 Ca
0.5000 0.5000 0.3382 As
0.5000 0.5000 0.6618 As
0.0000 0.5000 0.2460 Pd
0.0000 0.5000 0.7540 Pd
0.5000 0.0000 0.2460 Pd
0.5000 0.0000 0.7540 Pd
0.5000 0.5000 0.0000 Pd
```


Structure and computed PXRD pattern of BaCdInAs2 (a cell relaxed with PBE; copper Kα).

The 10 most intense peaks (2θ from 5° to 70°), low angle first:
2θ = 9.71°, rel. 68; 2θ = 25.98°, rel. 51; 2θ = 26.88°, rel. 86; 2θ = 27.53°, rel. 43; 2θ = 31.00°, rel. 62; 2θ = 33.79°, rel. 100; 2θ = 34.65°, rel. 85; 2θ = 36.49°, rel. 41; 2θ = 47.18°, rel. 29; 2θ = 51.20°, rel. 31

Atomic structure:
```
BaCdInAs2
1.0
6.6023 -2.5890 0.0000
6.6023 2.5890 0.0000
-1.7746 0.0000 9.1047
Ba Cd In As
2 2 2 4
direct
0.1670 0.1670 0.1947 Ba
0.8330 0.8330 0.8053 Ba
0.1468 0.1468 0.5682 Cd
0.8532 0.8532 0.4318 Cd
0.4477 0.4477 0.2664 In
0.5523 0.5523 0.7336 In
0.1044 0.1044 0.8372 As
0.3592 0.3592 0.5562 As
0.6408 0.6408 0.4438 As
0.8956 0.8956 0.1628 As
```


Structure and computed PXRD pattern of BaCd2AsO2 (a cell relaxed with PBE; copper Kα).

The 10 most intense peaks (2θ from 5° to 70°), low angle first:
2θ = 11.21°, rel. 24; 2θ = 27.75°, rel. 45; 2θ = 29.21°, rel. 100; 2θ = 29.56°, rel. 18; 2θ = 29.93°, rel. 18; 2θ = 33.08°, rel. 71; 2θ = 38.32°, rel. 33; 2θ = 43.24°, rel. 16; 2θ = 54.79°, rel. 16; 2θ = 56.31°, rel. 17

Atomic structure:
```
BaCd2AsO2
1.0
7.0228 0.0000 0.0000
0.0000 4.6980 0.0000
-2.7639 0.0000 7.8956
Ba Cd As O
2 4 2 4
direct
0.1965 0.2500 0.4408 Ba
0.8035 0.7500 0.5592 Ba
0.0913 0.2500 0.9152 Cd
0.4248 0.7500 0.8561 Cd
0.5752 0.2500 0.1439 Cd
0.9087 0.7500 0.0848 Cd
0.3238 0.7500 0.1594 As
0.6762 0.2500 0.8406 As
0.1473 0.9998 0.7011 O
0.1473 0.5002 0.7011 O
0.8527 0.0002 0.2989 O
0.8527 0.4998 0.2989 O
```